The following is a simulated XRD peak list of K2PtC4S4N4. It was derived from DFT lattice parameters and positions (PBE), using a wavelength of 1.5418 Å.

Cell and atoms:
Cell lengths 4.471, 15.272, 11.484 Å; angles 90.00, 102.63, 90.00 degrees
Sites, in units of the cell vectors:
K  0.155  0.188  0.039
K  0.155  0.312  0.539
K  0.845  0.688  0.461
K  0.845  0.812  0.961
Pt  0.500  0.000  0.000
Pt  0.500  0.500  0.500
C  0.279  0.656  0.212
C  0.279  0.844  0.712
C  0.490  0.578  0.725
C  0.490  0.922  0.225
C  0.510  0.078  0.775
C  0.510  0.422  0.275
C  0.721  0.156  0.288
C  0.721  0.344  0.788
S  0.324  0.093  0.644
S  0.324  0.407  0.144
S  0.340  0.660  0.077
S  0.340  0.840  0.577
S  0.660  0.160  0.423
S  0.660  0.340  0.923
S  0.676  0.593  0.856
S  0.676  0.907  0.356
N  0.237  0.653  0.311
N  0.237  0.847  0.811
N  0.357  0.565  0.622
N  0.357  0.935  0.122
N  0.643  0.065  0.878
N  0.643  0.435  0.378
N  0.763  0.153  0.189
N  0.763  0.347  0.689

Main lines, sorted by position (15 to 90 degrees two-theta):
2θ 15.82, rel. 88, (0 0 2)
2θ 19.15, rel. 83, (0 3 1)
2θ 20.35, rel. 69, (1 0 0)
2θ 20.99, rel. 89, (1 1 -1)
2θ 23.48, rel. 88, (1 2 0)
2θ 24.53, rel. 67, (0 1 3)
2θ 25.77, rel. 45, (1 2 -2)
2θ 28.29, rel. 43, (0 4 2)
2θ 28.51, rel. 69, (1 0 2)
2θ 29.36, rel. 100, (1 3 1)
2θ 30.32, rel. 69, (0 5 1)
2θ 30.95, rel. 56, (1 4 -1)